Entry 1:
The following is a calculated powder diffraction line list of Mn3Co5O16. It was derived from a structure optimized by DFT (PBE+U), using CuKα.
Intensities are scaled so that the largest is 100.

Cell: 9.802 5.696 8.611 Å, 90.00 90.75 90.00°
Space group Cm (No. 8)
One atom of each set of equivalent atoms:
Mn: 0.000 0.000 0.000 (multiplicity 2)
Mn: 0.084 0.252 0.500 (multiplicity 4)
Co: 0.001 0.500 0.775 (multiplicity 2)
Co: 0.251 0.252 0.996 (multiplicity 4)
Co: 0.335 0.000 0.495 (multiplicity 2)
Co: 0.335 0.500 0.273 (multiplicity 2)
O: 0.000 0.500 0.385 (multiplicity 2)
O: 0.085 0.255 0.891 (multiplicity 4)
O: 0.147 0.500 0.636 (multiplicity 2)
O: 0.169 0.000 0.609 (multiplicity 2)
O: 0.171 0.000 0.108 (multiplicity 2)
O: 0.190 0.500 0.127 (multiplicity 2)
O: 0.254 0.249 0.390 (multiplicity 4)
O: 0.332 0.500 0.886 (multiplicity 2)
O: 0.334 0.000 0.893 (multiplicity 2)
O: 0.404 0.279 0.131 (multiplicity 4)
O: 0.425 0.215 0.631 (multiplicity 4)
O: 0.496 0.500 0.388 (multiplicity 2)

Most intense lines, 2θ = 10–90°, by angle:
- d 4.298, 2θ = 20.67°, I = 100, (0 0 2)
- d 4.283, 2θ = 20.74°, I = 23, (2 0 -1)
- d 4.263, 2θ = 20.84°, I = 36, (1 1 1)
- d 2.377, 2θ = 37.84°, I = 36, (3 1 -2)
- d 2.364, 2θ = 38.07°, I = 28, (4 0 -1)
- d 2.143, 2θ = 42.17°, I = 21, (2 2 -2)
- d 1.875, 2θ = 48.55°, I = 30, (2 2 -3)
- d 1.417, 2θ = 65.91°, I = 32, (6 2 0)


Entry 2:
The following is a calculated powder diffraction line list of Na3FeS3O12. It was derived from a structure optimized by DFT (PBE+U), using CuKα.
Intensities are scaled so that the largest is 100.

Cell: 13.7152 13.7152 9.2304 Å, 90.00 90.00 120.00°
Space group R-3 (No. 148, hexagonal axes)
One atom of each set of equivalent atoms:
Na: 0.0333 0.4412 0.3253 (multiplicity 18)
Fe: 0.0000 0.0000 0.0000 (multiplicity 3)
Fe: 0.0000 0.0000 0.5000 (multiplicity 3)
S: 0.0273 0.1882 0.2398 (multiplicity 18)
O: 0.0039 0.1265 0.3829 (multiplicity 18)
O: 0.0297 0.7447 0.7534 (multiplicity 18)
O: 0.0325 0.8980 0.8778 (multiplicity 18)
O: 0.0799 0.5615 0.8790 (multiplicity 18)

Most intense lines, 2θ = 10–90°, by angle:
- d 6.858, 2θ = 12.91°, I = 59, (1 1 0)
- d 4.037, 2θ = 22.02°, I = 32, (2 1 1)
- d 3.644, 2θ = 24.43°, I = 13, (2 0 2)
- d 3.218, 2θ = 27.72°, I = 100, (3 -2 2)
- d 3.103, 2θ = 28.77°, I = 59, (4 -3 1)
- d 2.807, 2θ = 31.88°, I = 12, (2 -1 3)
- d 2.681, 2θ = 33.42°, I = 19, (3 1 2)
- d 2.079, 2θ = 43.54°, I = 12, (6 -1 1)


Entry 3:
The following is a calculated powder diffraction line list of Rb6UMo4O18. It was derived from a structure optimized by DFT (PBE+U), using CuKα.
Intensities are scaled so that the largest is 100.

Cell: 17.665 11.781 14.394 Å, 90.00 127.77 90.00°
Space group C2/c (No. 15)
One atom of each set of equivalent atoms:
Rb: 0.000 0.008 0.250 (multiplicity 4)
Rb: 0.000 0.320 0.750 (multiplicity 4)
Rb: 0.141 0.326 0.335 (multiplicity 8)
Rb: 0.213 0.134 0.166 (multiplicity 8)
U: 0.000 0.500 0.000 (multiplicity 4)
Mo: 0.062 0.188 0.543 (multiplicity 8)
Mo: 0.237 0.442 0.070 (multiplicity 8)
O: 0.001 0.460 0.376 (multiplicity 8)
O: 0.008 0.193 0.390 (multiplicity 8)
O: 0.017 0.119 0.939 (multiplicity 8)
O: 0.079 0.338 0.597 (multiplicity 8)
O: 0.142 0.409 0.086 (multiplicity 8)
O: 0.169 0.159 0.853 (multiplicity 8)
O: 0.176 0.119 0.622 (multiplicity 8)
O: 0.187 0.439 0.919 (multiplicity 8)
O: 0.215 0.081 0.375 (multiplicity 8)

Most intense lines, 2θ = 10–90°, by angle:
- d 3.486, 2θ = 25.55°, I = 82, (2 0 -4)
- d 3.446, 2θ = 25.86°, I = 38, (3 1 1)
- d 3.421, 2θ = 26.05°, I = 100, (1 3 -2)
- d 3.375, 2θ = 26.41°, I = 22, (4 2 -1)
- d 3.347, 2θ = 26.63°, I = 52, (5 1 -2)
- d 3.087, 2θ = 28.92°, I = 27, (1 1 -4)
- d 3.003, 2θ = 29.75°, I = 24, (4 2 0)
- d 2.396, 2θ = 37.55°, I = 21, (4 4 -1)